Starting from DFT lattice parameters and positions (PBE), the powder diffraction line list of Ce3PmPr2Sb6 was simulated for CuKα.

Peak list (7 most intense, 5° ≤ 2θ ≤ 70°, sorted by position)
24.12°, intensity 11
27.92°, intensity 1000
39.90°, intensity 765
47.17°, intensity 6
49.40°, intensity 274
57.70°, intensity 128
65.30°, intensity 352

a = 7.8249 Å, b = 7.8249 Å, c = 7.8291 Å
α = 99.59°, β = 99.59°, γ = 119.99°
Positions (direct):
Ce1 0.0000 0.0000 0.0000
Ce2 0.3325 0.6675 0.0000
Ce3 0.6675 0.3325 0.0000
Pm1 0.5000 0.5000 0.5000
Pr1 0.1664 0.8336 0.5000
Pr2 0.8336 0.1664 0.5000
Sb1 0.0844 0.4156 0.2464
Sb2 0.2539 0.2539 0.7546
Sb3 0.4156 0.0844 0.2464
Sb4 0.5844 0.9156 0.7536
Sb5 0.7461 0.7461 0.2454
Sb6 0.9156 0.5844 0.7536



Starting from DFT lattice parameters and positions (PBE), the powder diffraction line list of CePm4Pr3Se8 was simulated for CuKα.

Peak list (8 most intense, 5° ≤ 2θ ≤ 70°, sorted by position)
25.83°, intensity 157
29.92°, intensity 1000
42.82°, intensity 746
50.69°, intensity 79
53.11°, intensity 263
62.16°, intensity 122
68.43°, intensity 16
68.50°, intensity 16

a = 8.4523 Å, b = 8.4523 Å, c = 8.4523 Å
α = 59.93°, β = 59.93°, γ = 59.93°
Positions (direct):
Ce1 0.0000 0.0000 0.0000
Pm1 0.0000 0.0000 0.5000
Pm2 0.0000 0.5000 0.0000
Pm3 0.5000 0.0000 0.0000
Pm4 0.5000 0.5000 0.5000
Pr1 0.0000 0.5000 0.5000
Pr2 0.5000 0.0000 0.5000
Pr3 0.5000 0.5000 0.0000
Se1 0.2457 0.7503 0.7503
Se2 0.2480 0.2480 0.2480
Se3 0.2497 0.2497 0.7543
Se4 0.2497 0.7543 0.2497
Se5 0.7503 0.2457 0.7503
Se6 0.7503 0.7503 0.2457
Se7 0.7520 0.7520 0.7520
Se8 0.7543 0.2497 0.2497



Starting from DFT lattice parameters and positions (PBE), the powder diffraction line list of TbCePm2Pr6 was simulated for CuKα.

Peak list (12 most intense, 5° ≤ 2θ ≤ 70°, sorted by position)
26.93°, intensity 272
29.08°, intensity 279
29.88°, intensity 495
30.23°, intensity 1000
30.83°, intensity 204
31.18°, intensity 554
32.42°, intensity 363
32.57°, intensity 375
32.97°, intensity 279
33.57°, intensity 227
46.43°, intensity 213
55.52°, intensity 215

a = 6.7549 Å, b = 6.7549 Å, c = 8.9952 Å
α = 102.45°, β = 102.45°, γ = 63.34°
Positions (direct):
Tb1 0.0000 0.0000 0.0000
Ce1 0.5000 0.5000 0.5000
Pm1 0.0889 0.0889 0.6649
Pm2 0.9111 0.9111 0.3351
Pr1 0.0593 0.5868 0.7036
Pr2 0.3775 0.3775 0.0863
Pr3 0.4132 0.9407 0.2964
Pr4 0.5868 0.0593 0.7036
Pr5 0.6225 0.6225 0.9137
Pr6 0.9407 0.4132 0.2964



Starting from DFT lattice parameters and positions (PBE), the powder diffraction line list of Ce4Pm3Pt4 was simulated for CuKα.

Peak list (12 most intense, 5° ≤ 2θ ≤ 70°, sorted by position)
30.65°, intensity 1000
30.83°, intensity 266
31.74°, intensity 473
34.27°, intensity 151
34.74°, intensity 140
37.46°, intensity 434
41.87°, intensity 249
42.00°, intensity 136
42.12°, intensity 252
44.59°, intensity 145
46.21°, intensity 152
49.28°, intensity 146

a = 9.0373 Å, b = 9.0373 Å, c = 9.0373 Å
α = 149.19°, β = 130.58°, γ = 59.38°
Positions (direct):
Ce1 0.0445 0.8324 0.2121
Ce2 0.3798 0.1676 0.2121
Ce3 0.6202 0.8324 0.7879
Ce4 0.9555 0.1676 0.7879
Pm1 0.0000 0.5000 0.5000
Pm2 0.3995 0.3995 0.0000
Pm3 0.6005 0.6005 0.0000
Pt1 0.2034 0.7034 0.5000
Pt2 0.3085 0.0000 0.3085
Pt3 0.6915 0.0000 0.6915
Pt4 0.7966 0.2966 0.5000



Starting from DFT lattice parameters and positions (PBE), the powder diffraction line list of Ce5PmPt5 was simulated for CuKα.

Peak list (12 most intense, 5° ≤ 2θ ≤ 70°, sorted by position)
11.24°, intensity 51
14.31°, intensity 39
16.80°, intensity 54
18.93°, intensity 48
30.54°, intensity 1000
30.64°, intensity 498
43.60°, intensity 188
43.82°, intensity 937
54.23°, intensity 207
54.46°, intensity 199
63.57°, intensity 123
63.81°, intensity 62

a = 7.1505 Å, b = 7.1505 Å, c = 8.3035 Å
α = 106.83°, β = 106.83°, γ = 48.16°
Positions (direct):
Ce1 0.0000 0.0000 0.0000
Ce2 0.3291 0.3291 0.6600
Ce3 0.3324 0.3324 0.1694
Ce4 0.6676 0.6676 0.8306
Ce5 0.6709 0.6709 0.3400
Pm1 0.0000 0.0000 0.5000
Pt1 0.1663 0.1663 0.3259
Pt2 0.1686 0.1686 0.8414
Pt3 0.5000 0.5000 0.5000
Pt4 0.8314 0.8314 0.1586
Pt5 0.8337 0.8337 0.6741



Starting from DFT lattice parameters and positions (PBE), the powder diffraction line list of Ce3PmPt2 was simulated for CuKα.

Peak list (12 most intense, 5° ≤ 2θ ≤ 70°, sorted by position)
29.09°, intensity 177
32.07°, intensity 141
32.56°, intensity 1000
33.19°, intensity 223
33.54°, intensity 515
34.43°, intensity 263
36.18°, intensity 188
37.13°, intensity 587
39.74°, intensity 502
42.08°, intensity 134
45.40°, intensity 146
52.24°, intensity 171

a = 8.7320 Å, b = 8.7320 Å, c = 8.5954 Å
α = 117.34°, β = 117.34°, γ = 30.11°
Positions (direct):
Ce1 0.0664 0.0664 0.4386
Ce2 0.2886 0.2886 0.6153
Ce3 0.3729 0.3729 0.3050
Ce4 0.6271 0.6271 0.6950
Ce5 0.7114 0.7114 0.3847
Ce6 0.9336 0.9336 0.5614
Pm1 0.1105 0.1105 0.0297
Pm2 0.8895 0.8895 0.9703
Pt1 0.2430 0.2430 0.8913
Pt2 0.4804 0.4804 0.8145
Pt3 0.5196 0.5196 0.1855
Pt4 0.7570 0.7570 0.1087



Starting from DFT lattice parameters and positions (PBE), the powder diffraction line list of Ce2PmSi2Pt7 was simulated for CuKα.

Peak list (12 most intense, 5° ≤ 2θ ≤ 70°, sorted by position)
6.42°, intensity 759
31.71°, intensity 380
32.52°, intensity 387
33.71°, intensity 473
34.12°, intensity 683
35.18°, intensity 864
36.82°, intensity 1000
37.55°, intensity 375
39.27°, intensity 179
44.09°, intensity 757
44.26°, intensity 371
64.68°, intensity 291

a = 4.1138 Å, b = 4.1138 Å, c = 13.9056 Å
α = 95.77°, β = 95.77°, γ = 88.97°
Positions (direct):
Ce1 0.1098 0.1098 0.3572
Ce2 0.8902 0.8902 0.6428
Pm1 0.0000 0.0000 0.0000
Si1 0.4118 0.4118 0.7469
Si2 0.5882 0.5882 0.2531
Pt1 0.0576 0.5560 0.1628
Pt2 0.3802 0.3802 0.5753
Pt3 0.4440 0.9424 0.8372
Pt4 0.5000 0.5000 0.0000
Pt5 0.5560 0.0576 0.1628
Pt6 0.6198 0.6198 0.4247
Pt7 0.9424 0.4440 0.8372



Starting from DFT lattice parameters and positions (PBE), the powder diffraction line list of TbCePm2Pt2 was simulated for CuKα.

Peak list (12 most intense, 5° ≤ 2θ ≤ 70°, sorted by position)
22.28°, intensity 258
26.34°, intensity 195
29.00°, intensity 441
29.18°, intensity 449
31.13°, intensity 536
36.36°, intensity 491
36.51°, intensity 486
37.45°, intensity 1000
42.23°, intensity 521
54.19°, intensity 259
57.59°, intensity 197
57.80°, intensity 209

a = 8.6316 Å, b = 8.6316 Å, c = 8.6316 Å
α = 133.47°, β = 67.63°, γ = 133.84°
Positions (direct):
Tb1 0.2500 0.2500 0.0000
Tb2 0.7500 0.7500 0.0000
Ce1 0.2500 0.7500 0.5000
Ce2 0.7500 0.2500 0.5000
Pm1 0.1901 0.7285 0.9186
Pm2 0.3099 0.2285 0.5384
Pm3 0.6901 0.7715 0.4616
Pm4 0.8099 0.2715 0.0814
Pt1 0.1147 0.2569 0.3716
Pt2 0.3853 0.7569 0.1422
Pt3 0.6147 0.2431 0.8578
Pt4 0.8853 0.7431 0.6284



Starting from DFT lattice parameters and positions (PBE), the powder diffraction line list of CePmTh2Pt4 was simulated for CuKα.

Peak list (11 most intense, 5° ≤ 2θ ≤ 70°, sorted by position)
14.96°, intensity 18
21.26°, intensity 17
30.22°, intensity 1000
33.90°, intensity 11
37.22°, intensity 9
43.27°, intensity 762
46.05°, intensity 6
53.69°, intensity 273
58.39°, intensity 5
62.76°, intensity 43
62.90°, intensity 85

a = 7.2479 Å, b = 7.2479 Å, c = 7.2479 Å
α = 131.88°, β = 131.88°, γ = 70.42°
Positions (direct):
Ce1 0.0000 0.0000 0.0000
Pm1 0.5000 0.5000 0.0000
Th1 0.2500 0.7500 0.5000
Th2 0.7500 0.2500 0.5000
Pt1 0.0000 0.5000 0.5000
Pt2 0.2471 0.2471 0.0000
Pt3 0.5000 0.0000 0.5000
Pt4 0.7529 0.7529 0.0000



Starting from DFT lattice parameters and positions (PBE), the powder diffraction line list of CePm14Pu was simulated for CuKα.

Peak list (8 most intense, 5° ≤ 2θ ≤ 70°, sorted by position)
8.62°, intensity 8
12.20°, intensity 6
14.95°, intensity 7
30.17°, intensity 1000
34.98°, intensity 507
50.30°, intensity 362
59.78°, intensity 431
62.73°, intensity 124

a = 7.2573 Å, b = 7.2573 Å, c = 10.2575 Å
α = 90.00°, β = 90.00°, γ = 90.00°
Positions (direct):
Ce1 0.0000 0.0000 0.0000
Pm1 0.0000 0.0000 0.5000
Pm2 0.0000 0.5000 0.0000
Pm3 0.0000 0.5000 0.5000
Pm4 0.2505 0.2505 0.2455
Pm5 0.2505 0.2505 0.7545
Pm6 0.2505 0.7495 0.2455
Pm7 0.2505 0.7495 0.7545
Pm8 0.5000 0.0000 0.0000
Pm9 0.5000 0.0000 0.5000
Pm10 0.5000 0.5000 0.5000
Pm11 0.7495 0.2505 0.2455
Pm12 0.7495 0.2505 0.7545
Pm13 0.7495 0.7495 0.2455
Pm14 0.7495 0.7495 0.7545
Pu1 0.5000 0.5000 0.0000



Starting from DFT lattice parameters and positions (PBE), the powder diffraction line list of Ce2PmPu was simulated for CuKα.

Peak list (12 most intense, 5° ≤ 2θ ≤ 70°, sorted by position)
18.16°, intensity 31
18.63°, intensity 21
25.79°, intensity 20
26.13°, intensity 28
32.01°, intensity 1000
36.80°, intensity 345
37.77°, intensity 160
53.02°, intensity 122
53.76°, intensity 234
63.29°, intensity 287
64.61°, intensity 135
66.93°, intensity 121

a = 4.8849 Å, b = 4.8849 Å, c = 4.7631 Å
α = 90.00°, β = 90.00°, γ = 90.00°
Positions (direct):
Ce1 0.0000 0.5000 0.0000
Ce2 0.5000 0.0000 0.0000
Pm1 0.0000 0.0000 0.5000
Pu1 0.5000 0.5000 0.5000



Starting from DFT lattice parameters and positions (PBE), the powder diffraction line list of Ce3PmPu was simulated for CuKα.

Peak list (12 most intense, 5° ≤ 2θ ≤ 70°, sorted by position)
14.98°, intensity 406
17.87°, intensity 450
23.40°, intensity 296
29.60°, intensity 965
30.22°, intensity 348
35.33°, intensity 611
36.20°, intensity 1000
47.85°, intensity 392
51.48°, intensity 425
52.12°, intensity 355
53.29°, intensity 383
61.08°, intensity 243

a = 7.0195 Å, b = 7.0189 Å, c = 5.9146 Å
α = 90.00°, β = 90.00°, γ = 90.00°
Positions (direct):
Ce1 0.0000 0.0000 0.0000
Ce2 0.0000 0.5000 0.0002
Ce3 0.2500 0.2496 0.4452
Ce4 0.5000 0.0000 0.0000
Ce5 0.5000 0.5000 0.0002
Ce6 0.7500 0.7504 0.4452
Pm1 0.2500 0.7496 0.5634
Pm2 0.7500 0.2504 0.5634
Pu1 0.2500 0.2500 0.8712
Pu2 0.7500 0.7500 0.8712